1.
Diffraction record for Nd2Sm2CI2BrCl2. The powder diffractogram is simulated, not measured: it uses a cell relaxed with PBE and CuKα.
Intensities are scaled so that the largest is 100.

Main lines, by angle (10° ≤ 2θ ≤ 80°):
2θ = 10.63°, d = 8.323 Å, intensity 22
2θ = 13.10°, d = 6.757 Å, intensity 23
2θ = 20.82°, d = 4.267 Å, intensity 24
2θ = 27.96°, d = 3.192 Å, intensity 23
2θ = 30.19°, d = 2.960 Å, intensity 41
2θ = 30.31°, d = 2.948 Å, intensity 42
2θ = 30.79°, d = 2.904 Å, intensity 100
2θ = 43.11°, d = 2.098 Å, intensity 24
2θ = 44.39°, d = 2.041 Å, intensity 29
2θ = 45.52°, d = 1.993 Å, intensity 21

```
Nd2Sm2CI2BrCl2
1.0
9.0195 -1.9929 0.0000
9.0195 1.9929 0.0000
-1.6604 0.0000 8.3229
Nd Sm C I Br Cl
2 2 1 2 1 2
direct
0.0053 0.0053 0.2970 Nd
0.9947 0.9947 0.7030 Nd
0.3600 0.3600 0.4330 Sm
0.6400 0.6400 0.5670 Sm
0.5000 0.5000 0.5000 C
0.1706 0.1706 0.8515 I
0.8294 0.8294 0.1485 I
0.5000 0.5000 0.0000 Br
0.1720 0.1720 0.3527 Cl
0.8280 0.8280 0.6473 Cl
```


2.
Diffraction record for Sm2Dy2CI3Cl2. The powder diffractogram is simulated, not measured: it uses a cell relaxed with PBE and CuKα.
Intensities are scaled so that the largest is 100.

Main lines, by angle (10° ≤ 2θ ≤ 80°):
2θ = 10.50°, d = 8.424 Å, intensity 82
2θ = 24.30°, d = 3.663 Å, intensity 19
2θ = 29.40°, d = 3.038 Å, intensity 39
2θ = 30.63°, d = 2.918 Å, intensity 100
2θ = 33.30°, d = 2.691 Å, intensity 43
2θ = 33.46°, d = 2.678 Å, intensity 20
2θ = 38.15°, d = 2.359 Å, intensity 20
2θ = 42.89°, d = 2.109 Å, intensity 21
2θ = 43.05°, d = 2.101 Å, intensity 24
2θ = 45.99°, d = 1.973 Å, intensity 18

```
Sm2Dy2CI3Cl2
1.0
9.3808 -1.9734 0.0000
9.3808 1.9734 0.0000
-2.0485 0.0000 8.4243
Sm Dy C I Cl
2 2 1 3 2
direct
0.0013 0.0013 0.1957 Sm
0.9987 0.9987 0.8043 Sm
0.3678 0.3678 0.9260 Dy
0.6322 0.6322 0.0740 Dy
0.5000 0.5000 0.0000 C
0.1708 0.1708 0.8321 I
0.5000 0.5000 0.5000 I
0.8292 0.8292 0.1679 I
0.1566 0.1566 0.3002 Cl
0.8434 0.8434 0.6998 Cl
```


3.
Diffraction record for Dy3Mg3AlCdGa. The powder diffractogram is simulated, not measured: it uses a cell relaxed with PBE and CuKα.
Intensities are scaled so that the largest is 100.

Main lines, by angle (10° ≤ 2θ ≤ 80°):
2θ = 19.74°, d = 4.496 Å, intensity 36
2θ = 24.06°, d = 3.698 Å, intensity 17
2θ = 27.86°, d = 3.203 Å, intensity 46
2θ = 31.32°, d = 2.856 Å, intensity 48
2θ = 34.38°, d = 2.609 Å, intensity 100
2θ = 37.14°, d = 2.421 Å, intensity 19
2θ = 40.11°, d = 2.248 Å, intensity 21
2θ = 42.37°, d = 2.133 Å, intensity 23
2θ = 49.54°, d = 1.840 Å, intensity 19
2θ = 55.63°, d = 1.652 Å, intensity 25

```
Dy3Mg3AlCdGa
1.0
7.3965 0.0000 0.0000
-3.6982 6.4055 0.0000
0.0000 0.0000 4.4964
Dy Mg Al Cd Ga
3 3 1 1 1
direct
0.0989 0.7618 0.0000 Dy
0.2382 0.3371 0.0000 Dy
0.6629 0.9011 0.0000 Dy
0.4200 0.0846 0.5000 Mg
0.6646 0.5800 0.5000 Mg
0.9154 0.3354 0.5000 Mg
0.0000 0.0000 0.5000 Al
0.6667 0.3333 0.0000 Cd
0.3333 0.6667 0.5000 Ga
```


4.
Diffraction record for In3AgPt. The powder diffractogram is simulated, not measured: it uses a cell relaxed with PBE and CuKα.
Intensities are scaled so that the largest is 100.

Main lines, by angle (10° ≤ 2θ ≤ 80°):
2θ = 19.51°, d = 4.550 Å, intensity 25
2θ = 20.28°, d = 4.379 Å, intensity 100
2θ = 22.56°, d = 3.940 Å, intensity 13
2θ = 28.28°, d = 3.155 Å, intensity 11
2θ = 34.06°, d = 2.632 Å, intensity 32
2θ = 34.59°, d = 2.593 Å, intensity 44
2θ = 39.60°, d = 2.276 Å, intensity 59
2θ = 44.90°, d = 2.019 Å, intensity 25
2θ = 53.21°, d = 1.721 Å, intensity 46
2θ = 53.59°, d = 1.710 Å, intensity 18

```
In3AgPt
1.0
9.1002 0.0000 0.0000
-4.5501 7.8810 0.0000
0.0000 0.0000 5.2672
In Ag Pt
6 2 2
direct
0.1718 0.3436 0.2500 In
0.1718 0.8282 0.2500 In
0.3436 0.1718 0.7500 In
0.6564 0.8282 0.2500 In
0.8282 0.1718 0.7500 In
0.8282 0.6564 0.7500 In
0.0000 0.0000 0.2500 Ag
0.0000 0.0000 0.7500 Ag
0.3333 0.6667 0.2500 Pt
0.6667 0.3333 0.7500 Pt
```


5.
Diffraction record for Hf4SiPN2. The powder diffractogram is simulated, not measured: it uses a cell relaxed with PBE and CuKα.
Intensities are scaled so that the largest is 100.

Main lines, by angle (10° ≤ 2θ ≤ 80°):
2θ = 14.11°, d = 6.276 Å, intensity 18
2θ = 28.44°, d = 3.138 Å, intensity 19
2θ = 31.36°, d = 2.853 Å, intensity 27
2θ = 32.18°, d = 2.782 Å, intensity 37
2θ = 38.18°, d = 2.357 Å, intensity 100
2θ = 42.84°, d = 2.111 Å, intensity 14
2θ = 55.81°, d = 1.647 Å, intensity 26
2θ = 61.03°, d = 1.518 Å, intensity 15
2θ = 69.64°, d = 1.350 Å, intensity 17
2θ = 73.12°, d = 1.294 Å, intensity 14

```
Hf4SiPN2
1.0
3.2943 0.0000 0.0000
-1.6471 2.8529 0.0000
0.0000 0.0000 12.5526
Hf Si P N
4 1 1 2
direct
0.0000 0.0000 0.1419 Hf
0.0000 0.0000 0.8581 Hf
0.3333 0.6667 0.3392 Hf
0.3333 0.6667 0.6608 Hf
0.0000 0.0000 0.5000 Si
0.3333 0.6667 0.0000 P
0.6667 0.3333 0.2420 N
0.6667 0.3333 0.7580 N
```


6.
Diffraction record for Ta4SnSN2. The powder diffractogram is simulated, not measured: it uses a cell relaxed with PBE and CuKα.
Intensities are scaled so that the largest is 100.

Main lines, by angle (10° ≤ 2θ ≤ 80°):
2θ = 33.24°, d = 2.695 Å, intensity 42
2θ = 33.92°, d = 2.643 Å, intensity 14
2θ = 35.89°, d = 2.502 Å, intensity 14
2θ = 38.97°, d = 2.311 Å, intensity 100
2θ = 40.13°, d = 2.247 Å, intensity 11
2θ = 59.40°, d = 1.556 Å, intensity 25
2θ = 65.31°, d = 1.429 Å, intensity 19
2θ = 69.79°, d = 1.348 Å, intensity 14
2θ = 73.35°, d = 1.291 Å, intensity 16
2θ = 74.12°, d = 1.279 Å, intensity 11

```
Ta4SnSN2
1.0
3.1118 0.0000 0.0000
-1.5559 2.6949 0.0000
0.0000 0.0000 13.4815
Ta Sn S N
4 1 1 2
direct
0.0000 0.0000 0.1325 Ta
0.0000 0.0000 0.8675 Ta
0.6667 0.3333 0.3248 Ta
0.6667 0.3333 0.6752 Ta
0.0000 0.0000 0.5000 Sn
0.6667 0.3333 0.0000 S
0.3333 0.6667 0.2302 N
0.3333 0.6667 0.7698 N
```


7.
Diffraction record for Ba2Zn7F18. The powder diffractogram is simulated, not measured: it uses a cell relaxed with PBE and CuKα.
Intensities are scaled so that the largest is 100.

Main lines, by angle (10° ≤ 2θ ≤ 80°):
2θ = 26.95°, d = 3.308 Å, intensity 100
2θ = 28.23°, d = 3.161 Å, intensity 31
2θ = 29.06°, d = 3.073 Å, intensity 74
2θ = 29.29°, d = 3.049 Å, intensity 43
2θ = 32.21°, d = 2.779 Å, intensity 52
2θ = 32.43°, d = 2.761 Å, intensity 34
2θ = 40.85°, d = 2.209 Å, intensity 54
2θ = 41.34°, d = 2.184 Å, intensity 33
2θ = 52.78°, d = 1.735 Å, intensity 36
2θ = 65.77°, d = 1.420 Å, intensity 38

```
Ba2Zn7F18
1.0
6.9539 0.0000 0.0000
-3.2028 6.4761 0.0000
-0.4190 -0.7916 7.3355
Ba Zn F
2 7 18
direct
0.1841 0.3128 0.3708 Ba
0.8159 0.6872 0.6292 Ba
0.1090 0.7317 0.1238 Zn
0.3057 0.1267 0.8218 Zn
0.3237 0.6204 0.8057 Zn
0.5000 0.0000 0.5000 Zn
0.6763 0.3796 0.1943 Zn
0.6943 0.8733 0.1782 Zn
0.8910 0.2683 0.8762 Zn
0.0036 0.9337 0.1846 F
0.0185 0.4350 0.6702 F
0.1853 0.4871 0.0318 F
0.1947 0.8182 0.8717 F
0.2104 0.9878 0.5477 F
0.3794 0.2231 0.0823 F
0.4049 0.3955 0.7159 F
0.4140 0.7106 0.5609 F
0.4139 0.8856 0.2296 F
0.5861 0.1144 0.7704 F
0.5860 0.2894 0.4391 F
0.5951 0.6045 0.2841 F
0.6206 0.7769 0.9177 F
0.7896 0.0122 0.4523 F
0.8053 0.1818 0.1283 F
0.8147 0.5129 0.9682 F
0.9815 0.5650 0.3298 F
0.9964 0.0663 0.8154 F
```


8.
Diffraction record for GdYBPb. The powder diffractogram is simulated, not measured: it uses a cell relaxed with PBE and CuKα.
Intensities are scaled so that the largest is 100.

Main lines, by angle (10° ≤ 2θ ≤ 80°):
2θ = 10.53°, d = 8.400 Å, intensity 8
2θ = 27.68°, d = 3.223 Å, intensity 20
2θ = 32.03°, d = 2.795 Å, intensity 100
2θ = 38.71°, d = 2.326 Å, intensity 4
2θ = 42.78°, d = 2.114 Å, intensity 14
2θ = 48.95°, d = 1.861 Å, intensity 18
2θ = 57.01°, d = 1.615 Å, intensity 15
2θ = 59.68°, d = 1.549 Å, intensity 32
2θ = 67.00°, d = 1.397 Å, intensity 4
2θ = 78.39°, d = 1.220 Å, intensity 6

```
GdYBPb
1.0
3.7216 0.0000 0.0000
-1.8608 3.2230 0.0000
0.0000 0.0000 16.8003
Gd Y B Pb
2 2 2 2
direct
0.0000 0.0000 0.1614 Gd
0.0000 0.0000 0.8386 Gd
0.3333 0.6667 0.3409 Y
0.3333 0.6667 0.6591 Y
0.6667 0.3333 0.2515 B
0.6667 0.3333 0.7485 B
0.0000 0.0000 0.5000 Pb
0.3333 0.6667 0.0000 Pb
```


What did the eighth record say?
Diffraction record for GdYBPb. The powder diffractogram is simulated, not measured: it uses a cell relaxed with PBE and CuKα.
Intensities are scaled so that the largest is 100.

Main lines, by angle (10° ≤ 2θ ≤ 80°):
2θ = 10.53°, d = 8.400 Å, intensity 8
2θ = 27.68°, d = 3.223 Å, intensity 20
2θ = 32.03°, d = 2.795 Å, intensity 100
2θ = 38.71°, d = 2.326 Å, intensity 4
2θ = 42.78°, d = 2.114 Å, intensity 14
2θ = 48.95°, d = 1.861 Å, intensity 18
2θ = 57.01°, d = 1.615 Å, intensity 15
2θ = 59.68°, d = 1.549 Å, intensity 32
2θ = 67.00°, d = 1.397 Å, intensity 4
2θ = 78.39°, d = 1.220 Å, intensity 6

```
GdYBPb
1.0
3.7216 0.0000 0.0000
-1.8608 3.2230 0.0000
0.0000 0.0000 16.8003
Gd Y B Pb
2 2 2 2
direct
0.0000 0.0000 0.1614 Gd
0.0000 0.0000 0.8386 Gd
0.3333 0.6667 0.3409 Y
0.3333 0.6667 0.6591 Y
0.6667 0.3333 0.2515 B
0.6667 0.3333 0.7485 B
0.0000 0.0000 0.5000 Pb
0.3333 0.6667 0.0000 Pb
```